[1]
Theoretical XRD peak list of Pr3Pu2Rh3 for Cu Kα X-rays, from a DFT-relaxed cell (PBE, Alexandria).

Principal peaks in the range 15° ≤ 2θ ≤ 90°, sorted by position:
d_spacing, 2θ (°), Rel. int.
3.122, 28.59, 53
2.928, 30.53, 87
2.776, 32.25, 21
2.741, 32.67, 76
2.731, 32.79, 24
2.694, 33.26, 21
2.568, 34.95, 100
2.519, 35.64, 27
2.436, 36.89, 23
2.342, 38.43, 35
2.095, 43.19, 65
1.547, 59.77, 20

Crystal structure
Unit cell a=4.191 b=12.750 c=15.113 alpha=90.00 beta=90.00 gamma=90.00
Space group Cmcm (No. 63)
Asymmetric unit:
Pr 0.000 0.058 0.122 (multiplicity 8)
Pr 0.000 0.353 0.250 (multiplicity 4)
Pu 0.000 0.226 0.585 (multiplicity 8)
Rh 0.000 0.324 0.750 (multiplicity 4)
Rh 0.000 0.401 0.038 (multiplicity 8)

***

[2]
Theoretical XRD peak list of U2Cu2S7 for Cu Kα X-rays, from a DFT-relaxed cell (PBE, Alexandria).

Principal peaks in the range 15° ≤ 2θ ≤ 90°, sorted by position:
d_spacing, 2θ (°), Rel. int.
4.407, 20.15, 28
4.281, 20.75, 53
3.743, 23.77, 52
3.589, 24.81, 38
3.254, 27.41, 85
2.865, 31.22, 31
2.854, 31.34, 39
2.627, 34.13, 100
2.495, 35.99, 26
2.314, 38.92, 32
2.216, 40.71, 24
2.090, 43.30, 46

Crystal structure
Unit cell a=3.953 b=15.422 c=8.562 alpha=90.00 beta=90.00 gamma=90.00
Space group Imm2 (No. 44)
Asymmetric unit:
U 0.000 0.000 0.000 (multiplicity 2)
U 0.000 0.500 0.071 (multiplicity 2)
Cu 0.000 0.357 0.683 (multiplicity 4)
S 0.000 0.104 0.522 (multiplicity 4)
S 0.000 0.172 0.095 (multiplicity 4)
S 0.000 0.409 0.335 (multiplicity 4)
S 0.000 0.500 0.731 (multiplicity 2)

***

[3]
Theoretical XRD peak list of TbPr5Sm2Dy for Cu Kα X-rays, from a DFT-relaxed cell (PBE, Alexandria).

Principal peaks in the range 15° ≤ 2θ ≤ 90°, sorted by position:
d_spacing, 2θ (°), Rel. int.
3.190, 27.97, 51
3.087, 28.92, 50
3.007, 29.72, 100
2.762, 32.41, 18
2.620, 34.23, 11
2.528, 35.51, 11
2.396, 37.53, 15
2.335, 38.55, 12
2.111, 42.84, 12
2.073, 43.66, 13
1.766, 51.75, 24
1.721, 53.22, 13

Crystal structure
Unit cell a=8.732 b=8.732 c=16.585 alpha=90.00 beta=90.00 gamma=90.00
Space group I4/mcm (No. 140)
Asymmetric unit:
Tb 0.000 0.500 0.250 (multiplicity 4)
Pr 0.000 0.000 0.000 (multiplicity 4)
Pr 0.211 0.289 0.142 (multiplicity 16)
Sm 0.120 0.380 0.500 (multiplicity 8)
Dy 0.000 0.000 0.250 (multiplicity 4)